Record 1
Diffraction record for NiSe8Cl2. The PXRD pattern is calculated, not measured: it uses a crystal structure in OQMD, relaxed with PBE and CuKα.
Kinematic intensities with the Lorentz-polarization factor, no thermal factor.

Cell and atoms:
```
data_NiSe8Cl2
_chemical_formula_sum 'Ni3 Se24 Cl6'
_cell_length_a 5.9187
_cell_length_b 5.9187
_cell_length_c 27.9095
_cell_angle_alpha 90.00
_cell_angle_beta 90.00
_cell_angle_gamma 120.00
_space_group_name_H-M_alt 'R -3'
_space_group_IT_number 148
_space_group_name_Hall '-R 3'
loop_
_atom_site_label
_atom_site_type_symbol
_atom_site_fract_x
_atom_site_fract_y
_atom_site_fract_z
Ni1 Ni 0.0000 0.0000 0.0000
Se1 Se 0.0000 0.0000 0.1012
Se2 Se 0.0008 0.6367 0.9603
Cl1 Cl 0.0000 0.0000 0.1830
```

Top 10 peaks for 2θ from 10° to 90°, sorted by position:
| 2theta | I_rel | (hkl) |
| --- | --- | --- |
| 17.6 | 55 | 1 0 1 |
| 31.7 | 100 | 1 1 3 |
| 35.2 | 34 | 0 2 1 |
| 36.0 | 90 | 1 1 6 |
| 36.7 | 24 | 1 0 10 |
| 39.6 | 20 | 0 1 11 |
| 42.2 | 68 | 2 -1 9 |
| 49.9 | 31 | 2 -1 12 |
| 53.6 | 45 | 3 0 0 |
| 68.3 | 15 | 1 1 18 |


Record 2
Diffraction record for NiSe6Cl2. The PXRD pattern is calculated, not measured: it uses a crystal structure in OQMD, relaxed with PBE and CuKα.
Kinematic intensities with the Lorentz-polarization factor, no thermal factor.

Cell and atoms:
```
data_NiSe6Cl2
_chemical_formula_sum 'Ni1 Se6 Cl2'
_cell_length_a 4.6335
_cell_length_b 7.7416
_cell_length_c 8.0557
_cell_angle_alpha 64.40
_cell_angle_beta 81.14
_cell_angle_gamma 81.71
_space_group_name_H-M_alt 'P -1'
_space_group_IT_number 2
_space_group_name_Hall '-P 1'
loop_
_atom_site_label
_atom_site_type_symbol
_atom_site_fract_x
_atom_site_fract_y
_atom_site_fract_z
Ni1 Ni 0.0000 0.0000 0.0000
Se1 Se 0.0456 0.5137 0.7582
Se2 Se 0.1600 0.7486 0.2623
Se3 Se 0.1643 0.2230 0.4826
Cl1 Cl 0.3327 0.8777 0.8507
```

Top 10 peaks for 2θ from 10° to 90°, sorted by position:
| 2theta | I_rel | (hkl) |
| --- | --- | --- |
| 13.5 | 42 | 0 1 1 |
| 19.5 | 100 | 1 0 0 |
| 21.7 | 42 | 1 1 1 |
| 22.5 | 22 | 0 1 2 |
| 28.1 | 78 | 1 2 1 |
| 32.3 | 76 | -1 1 2 |
| 37.3 | 47 | 1 -1 2 |
| 41.2 | 21 | 0 3 3 |
| 49.2 | 31 | -2 1 2 |
| 49.7 | 32 | 2 3 2 |